This entry pairs a crystal structure of Na2NpTeO2 with its computed X-ray powder pattern. Radiation: λ = 1.5418 Å (Cu Kα). Structure: the GGA-PBE geometry in Alexandria.
Kinematic intensities with the Lorentz-polarization factor, no thermal factor.

Crystal structure
Unit cell a=4.337 b=4.337 c=6.398 alpha=90.00 beta=90.00 gamma=90.00
Fractional positions:
Na  0.000  0.000  0.241
Na  0.000  0.000  0.759
Np  0.500  0.500  0.500
Te  0.500  0.500  0.000
O  0.000  0.500  0.500
O  0.500  0.000  0.500

Main lines, by angle (15 to 90 degrees two-theta):
(1 0 0), 20.48 deg, I 100.0; (0 0 2), 27.89 deg, I 29.6; (1 1 0), 29.12 deg, I 62.4; (1 0 2), 34.85 deg, I 93.3; (1 1 2), 40.76 deg, I 28.3; (2 0 0), 41.65 deg, I 33.3; (2 1 0), 46.84 deg, I 23.9; (2 1 2), 55.39 deg, I 49.6


This entry pairs a crystal structure of Ce3AgGe5 with its computed X-ray powder pattern. Radiation: λ = 1.5418 Å (Cu Kα). Structure: the GGA-PBE geometry in Alexandria.
Kinematic intensities with the Lorentz-polarization factor, no thermal factor.

Crystal structure
Unit cell a=8.647 b=8.647 c=6.000 alpha=90.00 beta=90.00 gamma=120.00
Fractional positions:
Ce  0.000  0.377  0.250
Ce  0.000  0.623  0.750
Ce  0.377  0.000  0.250
Ce  0.377  0.377  0.750
Ce  0.623  0.000  0.750
Ce  0.623  0.623  0.250
Ag  0.000  0.000  0.000
Ag  0.000  0.000  0.500
Ge  0.000  0.278  0.750
Ge  0.000  0.722  0.250
Ge  0.278  0.000  0.750
Ge  0.278  0.278  0.250
Ge  0.333  0.667  0.000
Ge  0.333  0.667  0.500
Ge  0.667  0.333  0.000
Ge  0.667  0.333  0.500
Ge  0.722  0.000  0.250
Ge  0.722  0.722  0.750

Main lines, by angle (15 to 90 degrees two-theta):
(1 1 1), 25.39 deg, I 20.7; (2 1 1), 35.05 deg, I 47.7; (3 0 0), 35.98 deg, I 92.4; (1 1 2), 36.45 deg, I 100.0; (3 1 1), 46.26 deg, I 20.1; (2 2 2), 52.15 deg, I 25.9; (4 1 2), 64.99 deg, I 19.5; (3 0 4), 73.68 deg, I 22.0